Entry 1:
Starting from a DFT-relaxed cell (PBE, Alexandria), the powder X-ray diffraction pattern of Tm4ScBi3 was calculated for Cu Kα.

The 10 most intense peaks (10° ≤ 2θ ≤ 90°), in order of falling intensity:
2θ = 32.6°, rel. 100
2θ = 33.2°, rel. 23
2θ = 59.0°, rel. 15
2θ = 43.3°, rel. 12
2θ = 36.2°, rel. 12
2θ = 55.7°, rel. 11
2θ = 49.9°, rel. 9
2θ = 72.7°, rel. 9
2θ = 68.2°, rel. 8
2θ = 35.7°, rel. 7

Crystal structure
```
Tm4ScBi3
1.0
5.6457 -2.0882 0.0000
5.6457 2.0882 0.0000
-5.1364 0.0000 9.4784
Tm Sc Bi
4 1 3
direct
0.0353 0.0353 0.2637
0.2597 0.2597 0.1286
0.7403 0.7403 0.8714
0.9647 0.9647 0.7363
0.5000 0.5000 0.5000
0.2134 0.2134 0.6267
0.5000 0.5000 0.0000
0.7866 0.7866 0.3733
```



Entry 2:
Starting from a DFT-relaxed cell (PBE, Alexandria), the powder X-ray diffraction pattern of Tm3Sc2Bi2 was calculated for Cu Kα.

The 10 most intense peaks (10° ≤ 2θ ≤ 90°), in order of falling intensity:
2θ = 33.6°, rel. 100
2θ = 31.7°, rel. 87
2θ = 16.6°, rel. 32
2θ = 33.2°, rel. 31
2θ = 36.9°, rel. 30
2θ = 43.0°, rel. 26
2θ = 24.2°, rel. 24
2θ = 32.0°, rel. 19
2θ = 57.9°, rel. 17
2θ = 55.4°, rel. 15

Crystal structure
```
Tm3Sc2Bi2
1.0
5.8368 -2.1045 0.0000
5.8368 2.1045 0.0000
-2.3024 0.0000 7.9332
Tm Sc Bi
3 2 2
direct
0.0000 0.0000 0.0000
0.1263 0.1263 0.4430
0.8737 0.8737 0.5570
0.3870 0.3870 0.2470
0.6130 0.6130 0.7530
0.3138 0.3138 0.8222
0.6862 0.6862 0.1778
```



Entry 3:
Starting from a DFT-relaxed cell (PBE, Alexandria), the powder X-ray diffraction pattern of TmSc3Bi3 was calculated for Cu Kα.

The 10 most intense peaks (10° ≤ 2θ ≤ 90°), in order of falling intensity:
2θ = 25.2°, rel. 100
2θ = 36.1°, rel. 58
2θ = 35.7°, rel. 49
2θ = 32.9°, rel. 27
2θ = 12.7°, rel. 24
2θ = 29.5°, rel. 21
2θ = 44.4°, rel. 19
2θ = 44.2°, rel. 18
2θ = 31.8°, rel. 17
2θ = 37.2°, rel. 16

Crystal structure
```
TmSc3Bi3
1.0
4.3555 2.5146 6.0652
-4.3555 2.5146 6.0652
0.0000 -5.0293 6.0652
Tm Sc Bi
2 6 6
direct
0.1650 0.1650 0.1650
0.8350 0.8350 0.8350
0.1671 0.6806 0.4245
0.3194 0.5755 0.8329
0.4245 0.1671 0.6806
0.5755 0.8329 0.3194
0.6806 0.4245 0.1671
0.8329 0.3194 0.5755
0.0211 0.4135 0.7971
0.2029 0.9789 0.5865
0.4135 0.7971 0.0211
0.5865 0.2029 0.9789
0.7971 0.0211 0.4135
0.9789 0.5865 0.2029
```



Entry 4:
Starting from a DFT-relaxed cell (PBE, Alexandria), the powder X-ray diffraction pattern of Sc2Bi4W was calculated for Cu Kα.

The 10 most intense peaks (10° ≤ 2θ ≤ 90°), in order of falling intensity:
2θ = 32.8°, rel. 100
2θ = 26.2°, rel. 83
2θ = 35.1°, rel. 76
2θ = 48.8°, rel. 56
2θ = 17.4°, rel. 45
2θ = 47.1°, rel. 38
2θ = 24.6°, rel. 36
2θ = 12.2°, rel. 36
2θ = 41.5°, rel. 36
2θ = 50.5°, rel. 31

Crystal structure
```
Sc2Bi4W
1.0
-2.7277 2.7277 7.2289
2.7277 -2.7277 7.2289
2.7277 2.7277 -7.2289
Sc Bi W
2 4 1
direct
0.1063 0.1063 0.0000
0.8937 0.8937 0.0000
0.0000 0.5000 0.5000
0.3038 0.3038 0.0000
0.5000 0.0000 0.5000
0.6962 0.6962 0.0000
0.5000 0.5000 0.0000
```



Entry 5:
Starting from a DFT-relaxed cell (PBE, Alexandria), the powder X-ray diffraction pattern of Y5Sc2Bi5 was calculated for Cu Kα.

The 10 most intense peaks (10° ≤ 2θ ≤ 90°), in order of falling intensity:
2θ = 28.4°, rel. 100
2θ = 31.5°, rel. 88
2θ = 23.9°, rel. 77
2θ = 21.7°, rel. 63
2θ = 27.4°, rel. 59
2θ = 40.9°, rel. 46
2θ = 40.4°, rel. 44
2θ = 35.5°, rel. 40
2θ = 30.9°, rel. 34
2θ = 39.4°, rel. 33

Crystal structure
```
Y5Sc2Bi5
1.0
7.2610 -2.2044 0.0000
7.2610 2.2044 0.0000
-4.8515 0.0000 11.5707
Y Sc Bi
5 2 5
direct
0.0000 0.0000 0.0000
0.1639 0.1639 0.5312
0.2211 0.2211 0.8428
0.7789 0.7789 0.1572
0.8361 0.8361 0.4688
0.4427 0.4427 0.7018
0.5573 0.5573 0.2982
0.1889 0.1889 0.2792
0.3894 0.3894 0.0808
0.5000 0.5000 0.5000
0.6106 0.6106 0.9192
0.8111 0.8111 0.7208
```



Entry 6:
Starting from a DFT-relaxed cell (PBE, Alexandria), the powder X-ray diffraction pattern of ZrSc3Bi4 was calculated for Cu Kα.

The 10 most intense peaks (10° ≤ 2θ ≤ 90°), in order of falling intensity:
2θ = 29.7°, rel. 100
2θ = 42.5°, rel. 64
2θ = 25.6°, rel. 60
2θ = 69.9°, rel. 29
2θ = 52.7°, rel. 27
2θ = 50.3°, rel. 27
2θ = 77.8°, rel. 18
2θ = 42.5°, rel. 13
2θ = 67.9°, rel. 12
2θ = 77.6°, rel. 9

Crystal structure
```
ZrSc3Bi4
1.0
4.2637 -6.0124 0.0000
4.2637 6.0124 0.0000
0.0000 0.0000 4.2536
Zr Sc Bi
1 3 4
direct
0.0000 0.0000 0.0000
0.0000 0.5000 0.5000
0.5000 0.0000 0.5000
0.5000 0.5000 0.0000
0.2508 0.7492 0.0000
0.2517 0.2517 0.5000
0.7483 0.7483 0.5000
0.7492 0.2508 0.0000
```



Entry 7:
Starting from a DFT-relaxed cell (PBE, Alexandria), the powder X-ray diffraction pattern of Bi3Se4 was calculated for Cu Kα.

The 10 most intense peaks (10° ≤ 2θ ≤ 90°), in order of falling intensity:
2θ = 34.4°, rel. 100
2θ = 35.8°, rel. 83
2θ = 42.2°, rel. 81
2θ = 24.5°, rel. 79
2θ = 27.0°, rel. 64
2θ = 33.1°, rel. 50
2θ = 23.7°, rel. 47
2θ = 36.0°, rel. 47
2θ = 12.3°, rel. 44
2θ = 13.8°, rel. 41

Crystal structure
```
Bi3Se4
1.0
7.8618 -2.0821 0.0000
7.8618 2.0821 0.0000
-3.0439 0.0000 6.8796
Bi Se
3 4
direct
0.0000 0.0000 0.0000
0.2657 0.2657 0.2808
0.7343 0.7343 0.7192
0.1285 0.1285 0.4514
0.3697 0.3697 0.0154
0.6303 0.6303 0.9846
0.8715 0.8715 0.5486
```



Entry 8:
Starting from a DFT-relaxed cell (PBE, Alexandria), the powder X-ray diffraction pattern of Bi4Se3 was calculated for Cu Kα.

The 10 most intense peaks (10° ≤ 2θ ≤ 90°), in order of falling intensity:
2θ = 28.3°, rel. 100
2θ = 41.8°, rel. 38
2θ = 39.1°, rel. 37
2θ = 51.2°, rel. 20
2θ = 68.2°, rel. 17
2θ = 64.4°, rel. 14
2θ = 19.5°, rel. 13
2θ = 24.2°, rel. 13
2θ = 74.5°, rel. 12
2θ = 58.6°, rel. 12

Crystal structure
```
Bi4Se3
1.0
2.1621 1.2483 13.6268
-2.1621 1.2483 13.6268
0.0000 -2.4966 13.6268
Bi Se
4 3
direct
0.1453 0.1453 0.1453
0.2877 0.2877 0.2877
0.7123 0.7123 0.7123
0.8547 0.8547 0.8547
0.0000 0.0000 0.0000
0.4161 0.4161 0.4161
0.5839 0.5839 0.5839
```



What did the seventh record say?
Starting from a DFT-relaxed cell (PBE, Alexandria), the powder X-ray diffraction pattern of Bi3Se4 was calculated for Cu Kα.

The 10 most intense peaks (10° ≤ 2θ ≤ 90°), in order of falling intensity:
2θ = 34.4°, rel. 100
2θ = 35.8°, rel. 83
2θ = 42.2°, rel. 81
2θ = 24.5°, rel. 79
2θ = 27.0°, rel. 64
2θ = 33.1°, rel. 50
2θ = 23.7°, rel. 47
2θ = 36.0°, rel. 47
2θ = 12.3°, rel. 44
2θ = 13.8°, rel. 41

Crystal structure
```
Bi3Se4
1.0
7.8618 -2.0821 0.0000
7.8618 2.0821 0.0000
-3.0439 0.0000 6.8796
Bi Se
3 4
direct
0.0000 0.0000 0.0000
0.2657 0.2657 0.2808
0.7343 0.7343 0.7192
0.1285 0.1285 0.4514
0.3697 0.3697 0.0154
0.6303 0.6303 0.9846
0.8715 0.8715 0.5486
```